# 1
# ErMgS2
Simulated X-ray powder pattern, Cu Kα (λ = 1.5418 Å). Input: a DFT-relaxed cell (GGA-PBE, Alexandria).

Crystal structure
```
12
Lattice="3.7210 0.0000 0.0000 -1.8605 3.2225 0.0000 0.0000 0.0000 19.2267" Properties=species:S:1:pos:R:3 pbc="T T T"
Er 0.0000 0.0000 0.0000
Er 0.0000 2.1483 12.8178
Er 1.8605 1.0742 6.4089
Mg 0.0000 0.0000 9.6133
Mg 0.0000 2.1483 3.2045
Mg 1.8605 1.0742 16.0222
S 0.0000 0.0000 4.6889
S 0.0000 0.0000 14.5378
S 0.0000 2.1483 8.1289
S 0.0000 2.1483 17.5067
S 1.8605 1.0742 1.7200
S 1.8605 1.0742 11.0978
```

Peak list (12 most intense, 10° ≤ 2θ ≤ 80°, low angle first)
- 6.409 Å, intensity 70
- 3.204 Å, intensity 13
- 3.178 Å, intensity 48
- 3.055 Å, intensity 33
- 2.677 Å, intensity 100
- 2.470 Å, intensity 28
- 1.927 Å, intensity 36
- 1.861 Å, intensity 33
- 1.787 Å, intensity 16
- 1.609 Å, intensity 11
- 1.528 Å, intensity 17
- 1.214 Å, intensity 15

=====

# 2
# Er4Mg3S8
Simulated X-ray powder pattern, Cu Kα (λ = 1.5418 Å). Input: a DFT-relaxed cell (GGA-PBE, Alexandria).

Crystal structure
```
15
Lattice="5.3761 -5.3736 0.0000 5.3761 5.3736 0.0000 -5.3453 0.0000 5.4089" Properties=species:S:1:pos:R:3 pbc="T T T"
Er 0.0000 0.0000 0.0000
Er 2.6880 2.6868 0.0000
Er 2.6880 -2.6868 0.0000
Er 2.7035 0.0000 2.7045
Mg -2.6726 0.0000 2.7045
Mg 0.0154 2.6868 2.7045
Mg 0.0154 -2.6868 2.7045
S 2.7035 2.7474 2.7045
S -0.0305 0.0000 2.7032
S -2.6342 0.0000 5.3635
S 5.3761 2.6615 0.0000
S 5.3761 -2.6615 0.0000
S 8.0411 0.0000 0.0454
S 5.4374 0.0000 2.7057
S 2.7035 -2.7474 2.7045
```

Peak list (12 most intense, 10° ≤ 2θ ≤ 80°, low angle first)
- 6.208 Å, intensity 67
- 5.376 Å, intensity 26
- 3.812 Å, intensity 23
- 3.245 Å, intensity 31
- 3.116 Å, intensity 32
- 3.104 Å, intensity 32
- 2.704 Å, intensity 51
- 2.687 Å, intensity 100
- 1.906 Å, intensity 35
- 1.901 Å, intensity 53
- 1.558 Å, intensity 18
- 1.552 Å, intensity 18

=====

# 3
# Er7Mg2Sc2
Simulated X-ray powder pattern, Cu Kα (λ = 1.5418 Å). Input: a DFT-relaxed cell (GGA-PBE, Alexandria).

Crystal structure
```
11
Lattice="-1.7356 8.5214 5.4603 1.7356 -8.5214 5.4603 1.7356 8.5214 -5.4603" Properties=species:S:1:pos:R:3 pbc="T T T"
Er 0.0000 0.0000 0.0000
Er 1.7356 -2.7064 3.1564
Er 1.7356 6.5936 0.5696
Er 1.7356 2.7064 3.1564
Er 0.0000 5.5673 3.4141
Er 0.0000 1.9277 6.0298
Er 0.0000 11.4755 3.4141
Mg 0.0000 0.0000 3.3228
Mg 0.0000 8.5214 2.6531
Sc 0.0000 3.7704 0.5777
Sc 0.0000 13.2724 0.5777
```

Peak list (12 most intense, 10° ≤ 2θ ≤ 80°, low angle first)
- 4.597 Å, intensity 42
- 3.254 Å, intensity 42
- 2.962 Å, intensity 36
- 2.887 Å, intensity 100
- 2.840 Å, intensity 20
- 2.730 Å, intensity 52
- 2.613 Å, intensity 49
- 2.603 Å, intensity 88
- 2.520 Å, intensity 35
- 1.662 Å, intensity 26
- 1.551 Å, intensity 26
- 1.420 Å, intensity 26

=====

# 4
# ErMg5Sc
Simulated X-ray powder pattern, Cu Kα (λ = 1.5418 Å). Input: a DFT-relaxed cell (GGA-PBE, Alexandria).

Crystal structure
```
14
Lattice="6.1095 0.0000 0.0000 0.0000 9.6369 0.0000 -2.2272 0.0000 6.1062" Properties=species:S:1:pos:R:3 pbc="T T T"
Er 0.0000 0.0000 0.0000
Er 3.0547 4.8184 0.0000
Mg -1.1136 0.0000 3.0531
Mg 0.6797 2.7615 1.4226
Mg 0.6797 6.8753 1.4226
Mg 0.1479 2.0569 4.6836
Mg 0.1479 7.5800 4.6836
Mg 1.9412 4.8184 3.0531
Mg 3.7344 2.0569 1.4226
Mg 3.7344 7.5800 1.4226
Mg 3.2026 2.7615 4.6836
Mg 3.2026 6.8753 4.6836
Sc -1.1136 4.8184 3.0531
Sc 1.9412 0.0000 3.0531
```

Peak list (12 most intense, 10° ≤ 2θ ≤ 80°, low angle first)
- 6.106 Å, intensity 26
- 4.931 Å, intensity 59
- 4.818 Å, intensity 31
- 4.546 Å, intensity 69
- 3.381 Å, intensity 55
- 3.026 Å, intensity 32
- 2.803 Å, intensity 22
- 2.726 Å, intensity 45
- 2.579 Å, intensity 100
- 2.466 Å, intensity 52
- 2.409 Å, intensity 23
- 1.444 Å, intensity 17

=====

# 5
# Er3Mg2Sc4
Simulated X-ray powder pattern, Cu Kα (λ = 1.5418 Å). Input: a DFT-relaxed cell (GGA-PBE, Alexandria).

Crystal structure
```
9
Lattice="7.0455 -2.3102 0.0000 7.0455 2.3102 0.0000 -2.3795 0.0000 7.2543" Properties=species:S:1:pos:R:3 pbc="T T T"
Er 0.0000 0.0000 0.0000
Er 0.0018 0.0000 4.7912
Er 11.7097 0.0000 2.4631
Mg 2.2647 0.0000 7.2448
Mg 9.4468 0.0000 0.0095
Sc 2.3039 0.0000 2.4519
Sc 4.6279 0.0000 4.8086
Sc 7.0835 0.0000 2.4457
Sc 9.4076 0.0000 4.8024
```

Peak list (12 most intense, 10° ≤ 2θ ≤ 80°, low angle first)
- 6.695 Å, intensity 22
- 4.368 Å, intensity 58
- 4.297 Å, intensity 26
- 3.710 Å, intensity 21
- 2.727 Å, intensity 100
- 2.719 Å, intensity 90
- 2.418 Å, intensity 32
- 2.348 Å, intensity 29
- 2.310 Å, intensity 28
- 1.670 Å, intensity 20
- 1.647 Å, intensity 19
- 1.401 Å, intensity 22

=====

# 6
# ErMgSc4
Simulated X-ray powder pattern, Cu Kα (λ = 1.5418 Å). Input: a DFT-relaxed cell (GGA-PBE, Alexandria).

Crystal structure
```
12
Lattice="4.9187 -2.8800 0.0000 4.9187 2.8800 0.0000 -3.1760 0.0000 10.6627" Properties=species:S:1:pos:R:3 pbc="T T T"
Er 2.4594 1.4400 0.0000
Er 0.8714 -1.4400 5.3313
Mg 4.1247 2.4451 2.6657
Mg 2.5367 -2.4451 7.9970
Sc 2.5122 1.4242 5.2983
Sc 0.9205 0.4777 7.9916
Sc 5.7372 1.4242 0.0330
Sc 2.5085 -0.4777 2.6602
Sc 4.1530 0.4777 8.0024
Sc 0.9242 -1.4242 10.6297
Sc 5.7410 -0.4777 2.6711
Sc 4.1492 -1.4242 5.3643
```

Peak list (12 most intense, 10° ≤ 2θ ≤ 80°, low angle first)
- 5.331 Å, intensity 62
- 4.740 Å, intensity 57
- 4.714 Å, intensity 46
- 4.231 Å, intensity 62
- 3.110 Å, intensity 42
- 2.850 Å, intensity 55
- 2.666 Å, intensity 90
- 2.534 Å, intensity 100
- 2.522 Å, intensity 96
- 2.504 Å, intensity 95
- 1.956 Å, intensity 47
- 1.513 Å, intensity 38